Calculated PXRD pattern
Compound: RbNb6O12
Radiation: λ = 1.5418 Å (Cu Kα)
Structure: a structure optimized by DFT (PBE)
Lines closer than 0.1° are merged.

Cell and atoms:
```
data_RbNb6O12
_chemical_formula_sum 'Rb3 Nb18 O36'
_cell_length_a 10.1496
_cell_length_b 10.1496
_cell_length_c 7.8431
_cell_angle_alpha 90.00
_cell_angle_beta 90.00
_cell_angle_gamma 120.00
_space_group_name_H-M_alt 'R -3 m'
_space_group_IT_number 166
_space_group_name_Hall '-R 3 2"'
loop_
_atom_site_label
_atom_site_type_symbol
_atom_site_fract_x
_atom_site_fract_y
_atom_site_fract_z
Rb1 Rb 0.0000 0.0000 0.0000
Nb1 Nb 0.0736 0.5368 0.2981
O1 O 0.0000 0.3735 0.5000
O2 O 0.0927 0.1855 0.3739
```

Most intense lines, 2θ = 10–90°, by angle:
- 29.19 deg, I = 100, hkl 2 1 1
- 30.54 deg, I = 20, hkl 2 0 2
- 34.30 deg, I = 18, hkl 0 0 3
- 35.40 deg, I = 58, hkl 1 2 2
- 46.53 deg, I = 33, hkl 0 3 3
- 50.10 deg, I = 13, hkl 2 2 3
- 53.41 deg, I = 21, hkl 0 5 1
- 54.22 deg, I = 17, hkl 3 3 0
- 57.45 deg, I = 21, hkl 5 0 2
- 65.73 deg, I = 14, hkl 3 3 3